Simulated XRD peak list
Compound: NaMgScS3O12
Radiation: λ = 1.5418 Å (Cu Kα)
Structure: a cell relaxed with GGA-PBE
No peak broadening, texture or thermal motion is included.

Main lines, most intense first (15° ≤ 2θ ≤ 90°):
| index | two_theta | I/Imax |
| --- | --- | --- |
| 1 1 3 | 23.45 | 100 |
| 1 1 6 | 31.06 | 33 |
| 2 2 6 | 47.97 | 13 |
| 0 2 4 | 28.26 | 12 |
| 2 1 1 | 31.55 | 11 |
| 3 0 0 | 35.63 | 11 |
| 4 1 0 | 55.72 | 8 |
| 1 1 0 | 20.35 | 7 |
| 0 0 6 | 23.21 | 6 |
| 1 0 4 | 19.40 | 6 |

Atomic structure:
abc: 8.7297 8.7297 22.9930
angles: 90.00 90.00 120.00
Space group R3c (No. 161, hexagonal axes)
Unique sites:
Na (0.0000, 0.0000, 0.0000) x6
Mg (0.0000, 0.0000, 0.3532) x6
Sc (0.0000, 0.0000, 0.1504) x6
S (0.0433, 0.3729, 0.4196) x18
O (0.0228, 0.1961, 0.4119) x18
O (0.0263, 0.2101, 0.6998) x18
O (0.1497, 0.4562, 0.4715) x18
O (0.1589, 0.4691, 0.7585) x18